Structure and calculated powder XRD pattern of V3FeSb2P6O24 (a DFT-relaxed cell (GGA+U, the Materials Project); Cu Kα (λ = 1.5418 Å)).
Peak positions follow from Bragg's law for the DFT cell and can differ from measured ones.

Largest 12 diffraction maxima, most intense first, 2θ from 10° to 80°:
2θ = 20.4°, d = 4.353 Å, I = 1000; 2θ = 31.9°, d = 2.806 Å, I = 945; 2θ = 23.8°, d = 3.744 Å, I = 684; 2θ = 35.7°, d = 2.513 Å, I = 387; 2θ = 48.6°, d = 1.872 Å, I = 340; 2θ = 25.0°, d = 3.566 Å, I = 309; 2θ = 45.8°, d = 1.980 Å, I = 307; 2θ = 55.9°, d = 1.645 Å, I = 253; 2θ = 14.2°, d = 6.221 Å, I = 251; 2θ = 61.8°, d = 1.501 Å, I = 244; 2θ = 32.5°, d = 2.759 Å, I = 211; 2θ = 43.6°, d = 2.074 Å, I = 157

Cell and atoms:
```
36
Lattice="4.3526 2.5130 7.3426 -4.3526 2.5130 7.3426 0.0000 -5.0260 7.3426" Properties=species:S:1:pos:R:3 pbc="T T T"
V 0.0000 0.0000 0.0000
V 0.0000 0.0000 4.5804
V 0.0000 0.0000 11.0345
Fe 0.0000 0.0000 15.5081
Sb 0.0000 0.0000 7.8141
Sb 0.0000 0.0000 18.7021
P -3.0950 0.3293 9.6452
P -1.2702 -2.1914 13.3160
P 1.2623 -2.8450 9.6452
P -1.2628 2.1957 13.3160
P 1.8327 2.5157 9.6452
P 2.5329 -0.0043 13.3160
O -3.4599 1.0536 8.3664
O -0.8974 -1.2434 6.0152
O -2.8172 -2.3686 13.2796
O -3.5414 1.0120 10.9266
O 0.8175 -3.5232 8.3664
O -1.5321 0.1437 9.6028
O -0.6281 1.3989 6.0152
O -0.8982 -1.4573 12.0313
O 0.8943 -3.5730 10.9266
O 0.6416 -1.3987 9.6028
O 1.5255 -0.1555 6.0152
O -0.8051 -1.5116 14.6124
O -0.8129 1.5065 12.0313
O -1.5146 -0.1557 17.0352
O 0.8905 1.2550 9.6028
O -0.9065 1.4530 14.6124
O 1.7112 -0.0492 12.0313
O -0.6426 3.6241 13.2796
O 0.8921 -1.2339 17.0353
O 2.6424 2.4695 8.3664
O 1.7116 0.0585 14.6124
O 3.4599 -1.2555 13.2796
O 0.6225 1.3896 17.0353
O 2.6471 2.5610 10.9266
```

=====

Structure and calculated powder XRD pattern of VFe3Sb2P6O24 (a DFT-relaxed cell (GGA+U, the Materials Project); Cu Kα (λ = 1.5418 Å)).
Peak positions follow from Bragg's law for the DFT cell and can differ from measured ones.

Largest 12 diffraction maxima, most intense first, 2θ from 10° to 80°:
2θ = 20.4°, d = 4.344 Å, I = 1000; 2θ = 31.9°, d = 2.802 Å, I = 929; 2θ = 23.8°, d = 3.737 Å, I = 620; 2θ = 35.8°, d = 2.508 Å, I = 380; 2θ = 48.7°, d = 1.869 Å, I = 335; 2θ = 25.0°, d = 3.560 Å, I = 262; 2θ = 45.9°, d = 1.977 Å, I = 261; 2θ = 61.9°, d = 1.498 Å, I = 245; 2θ = 56.0°, d = 1.642 Å, I = 242; 2θ = 14.3°, d = 6.210 Å, I = 203; 2θ = 32.5°, d = 2.753 Å, I = 177; 2θ = 43.7°, d = 2.070 Å, I = 163

Cell and atoms:
```
36
Lattice="4.3440 2.5080 7.3327 -4.3440 2.5080 7.3327 0.0000 -5.0160 7.3327" Properties=species:S:1:pos:R:3 pbc="T T T"
V 0.0000 0.0000 0.0000
Fe 0.0000 0.0000 4.5487
Fe 0.0000 0.0000 11.1133
Fe 0.0000 0.0000 15.4674
Sb 0.0000 0.0000 7.7956
Sb 0.0000 0.0000 18.6131
P -1.2537 -2.8380 9.6623
P -2.5451 0.0110 13.3206
P -1.8309 2.5048 9.6623
P 1.2630 -2.2096 13.3206
P 3.0847 0.3332 9.6622
P 1.2820 2.1986 13.3206
O -0.8512 -3.5495 8.3885
O -1.4937 -0.1549 6.0341
O -3.4708 -1.2331 13.3004
O -0.8992 -3.5553 10.9631
O -2.6484 2.5120 8.3885
O -0.6306 -1.3981 9.6248
O 0.8810 -1.2161 6.0341
O -1.7074 -0.0472 12.0403
O -2.6294 2.5564 10.9631
O -0.8955 1.2451 9.6248
O 0.6127 1.3711 6.0341
O -1.7002 0.0920 14.5993
O 0.8946 -1.4551 12.0403
O -0.8871 -1.2229 17.0271
O 1.5261 0.1529 9.6249
O 0.7704 -1.5184 14.5993
O 0.8128 1.5022 12.0403
O 2.8032 -2.3892 13.3004
O -0.6155 1.3797 17.0271
O 3.4996 1.0376 8.3885
O 0.9298 1.4264 14.5994
O 0.6675 3.6223 13.3004
O 1.5026 -0.1568 17.0271
O 3.5286 0.9989 10.9631
```

=====

Structure and calculated powder XRD pattern of V2Fe3SbP6O24 (a DFT-relaxed cell (GGA+U, the Materials Project); Cu Kα (λ = 1.5418 Å)).
Peak positions follow from Bragg's law for the DFT cell and can differ from measured ones.

Largest 12 diffraction maxima, most intense first, 2θ from 10° to 80°:
2θ = 20.5°, d = 4.325 Å, I = 1000; 2θ = 24.1°, d = 3.687 Å, I = 747; 2θ = 32.8°, d = 2.731 Å, I = 601; 2θ = 36.0°, d = 2.498 Å, I = 407; 2θ = 56.3°, d = 1.635 Å, I = 355; 2θ = 47.0°, d = 1.932 Å, I = 258; 2θ = 49.4°, d = 1.844 Å, I = 237; 2θ = 62.6°, d = 1.483 Å, I = 163; 2θ = 29.2°, d = 3.056 Å, I = 154; 2θ = 31.9°, d = 2.807 Å, I = 148; 2θ = 76.2°, d = 1.249 Å, I = 102; 2θ = 64.6°, d = 1.442 Å, I = 102

Cell and atoms:
```
36
Lattice="4.3274 2.4984 7.0410 -4.3274 2.4984 7.0410 0.0000 -4.9968 7.0410" Properties=species:S:1:pos:R:3 pbc="T T T"
V 0.0000 0.0000 0.0000
V 0.0000 0.0000 10.4478
Fe 0.0000 0.0000 3.0224
Fe 0.0000 0.0000 7.4677
Fe 0.0000 0.0000 18.0584
Sb 0.0000 0.0000 13.5666
P -3.0642 -0.2785 8.8103
P -1.2893 -2.8210 12.3069
P 1.7733 -2.5144 8.8103
P -1.7984 2.5270 12.3069
P 1.2909 2.7929 8.8103
P 3.0877 0.2939 12.3069
O -3.6991 1.1207 8.6397
O -2.8148 -2.5890 12.4310
O -0.8887 -1.4669 6.5408
O -0.8453 -3.5005 11.0235
O -1.5211 -0.1668 8.9024
O 0.8790 -3.7639 8.6397
O -0.8261 1.5031 6.5408
O -2.6089 2.4823 11.0235
O -0.6307 -1.3418 12.1692
O 0.9051 -1.2339 8.9024
O -1.7153 -0.0068 14.5115
O 1.7147 -0.0361 6.5408
O -0.8467 1.2171 12.1692
O 0.6161 1.4008 8.9024
O -1.6619 -0.0633 17.0660
O 0.8636 -1.4821 14.5115
O -0.8348 3.7322 12.4310
O 1.4774 0.1247 12.1692
O 0.8857 -1.4076 17.0660
O 0.8518 1.4889 14.5115
O 2.8201 2.6432 8.6397
O 3.6496 -1.1432 12.4310
O 3.4541 1.0182 11.0235
O 0.7761 1.4709 17.0660
```